Simulated X-ray powder pattern of Na3Li4Mn5O9 for copper Kα, from the GGA+U geometry in the Materials Project.
Kinematic intensities with the Lorentz-polarization factor, no thermal factor.

Cell: 5.9007 5.9649 8.9770 Å, 97.27 95.21 119.46°
Space group P1 (No. 1)
Asymmetric unit:
1 Na 0.0000 0.0000 0.0000
2 Na 0.3004 0.6128 0.9971
3 Na 0.6891 0.3160 0.0029
4 Li 0.1207 0.1706 0.5754
5 Li 0.4717 0.1292 0.4624
6 Li 0.5638 0.8315 0.5637
7 Li 0.8889 0.5002 0.5572
8 Mn 0.0630 0.7218 0.2839
9 Mn 0.2643 0.9030 0.7533
10 Mn 0.4132 0.4186 0.2842
11 Mn 0.5898 0.5509 0.7552
12 Mn 0.7538 0.0593 0.2702
13 O 0.0508 0.3725 0.1810
14 O 0.1833 0.8370 0.5202
15 O 0.3098 0.2504 0.8238
16 O 0.3816 0.0458 0.2165
17 O 0.5025 0.4658 0.5210
18 O 0.5674 0.8661 0.8198
19 O 0.7118 0.6920 0.1815
20 O 0.8001 0.1435 0.4981
21 O 0.9531 0.6341 0.8208

Peak list (12 most intense, 2θ from 10° to 90°, in order of falling intensity)
- 4.382 Å, rel. 100, (0 0 2)
- 2.320 Å, rel. 49, (-1 2 2)
- 2.332 Å, rel. 48, (1 1 -3)
- 2.343 Å, rel. 47, (2 -1 2)
- 2.608 Å, rel. 47, (1 1 1)
- 2.191 Å, rel. 45, (0 0 4)
- 2.969 Å, rel. 42, (1 1 -1)
- 2.958 Å, rel. 41, (1 -2 0)
- 2.918 Å, rel. 38, (1 -2 1)
- 2.938 Å, rel. 37, (2 -1 0)
- 1.731 Å, rel. 33, (0 3 -1)
- 1.708 Å, rel. 30, (3 -3 0)



Simulated X-ray powder pattern of Na3Li5Mn5O9 for copper Kα, from the GGA+U geometry in the Materials Project.
Kinematic intensities with the Lorentz-polarization factor, no thermal factor.

Cell: 6.0686 6.0749 8.8526 Å, 96.17 97.51 119.88°
Space group P1 (No. 1)
Asymmetric unit:
1 Na 0.0000 0.0000 0.0000
2 Na 0.2845 0.5789 0.0027
3 Na 0.5944 0.2912 0.0026
4 Li 0.0951 0.4236 0.3992
5 Li 0.1241 0.1190 0.5268
6 Li 0.4535 0.1718 0.3851
7 Li 0.4705 0.8130 0.5257
8 Li 0.7016 0.6650 0.3859
9 Mn 0.0466 0.7106 0.2239
10 Mn 0.1813 0.8433 0.7175
11 Mn 0.5463 0.5351 0.7227
12 Mn 0.7029 0.0199 0.2249
13 Mn 0.8620 0.2161 0.7154
14 O 0.1365 0.8026 0.4724
15 O 0.2151 0.2143 0.7839
16 O 0.3553 0.9973 0.1604
17 O 0.4201 0.4505 0.4851
18 O 0.5518 0.8884 0.7700
19 O 0.6992 0.6892 0.1593
20 O 0.7847 0.0935 0.4723
21 O 0.8981 0.5624 0.8108
22 O 0.9820 0.3449 0.1654

Peak list (12 most intense, 2θ from 10° to 90°, in order of falling intensity)
- 4.299 Å, rel. 100, (0 0 2)
- 3.021 Å, rel. 91, (1 1 -1)
- 2.354 Å, rel. 87, (-1 2 2)
- 1.755 Å, rel. 70, (3 0 -1)
- 2.609 Å, rel. 47, (1 1 1)
- 3.007 Å, rel. 46, (2 -1 0)
- 2.323 Å, rel. 44, (2 -1 2)
- 2.149 Å, rel. 43, (0 0 4)
- 2.953 Å, rel. 41, (1 -2 1)
- 1.752 Å, rel. 36, (3 -3 0)
- 2.634 Å, rel. 32, (-2 1 2)
- 1.668 Å, rel. 30, (1 1 -5)



Simulated X-ray powder pattern of Na3Li5Mn5O9 for copper Kα, from the GGA+U geometry in the Materials Project.
Kinematic intensities with the Lorentz-polarization factor, no thermal factor.

Cell: 5.8928 5.9076 9.0484 Å, 78.21 83.12 60.13°
Space group P1 (No. 1)
Asymmetric unit:
1 Na 0.0000 0.0000 0.0000
2 Na 0.3150 0.3024 0.9928
3 Na 0.6485 0.6530 0.0070
4 Li 0.2896 0.1505 0.6011
5 Li 0.3085 0.9383 0.2186
6 Li 0.6302 0.2649 0.2027
7 Li 0.9372 0.4543 0.7478
8 Li 0.9854 0.5985 0.1924
9 Mn 0.2934 0.5556 0.4216
10 Mn 0.3355 0.7031 0.7470
11 Mn 0.6661 0.8384 0.4220
12 Mn 0.6934 0.0534 0.7478
13 Mn 0.9397 0.2148 0.4181
14 O 0.2959 0.8679 0.5021
15 O 0.3098 0.6112 0.1929
16 O 0.3461 0.0249 0.8110
17 O 0.6095 0.1751 0.5063
18 O 0.6464 0.9300 0.1928
19 O 0.6606 0.3646 0.8371
20 O 0.9724 0.2707 0.1892
21 O 0.9860 0.4833 0.5166
22 O 0.9988 0.6986 0.8403

Peak list (12 most intense, 2θ from 10° to 90°, in order of falling intensity)
- 2.683 Å, rel. 100, (2 1 -1)
- 2.949 Å, rel. 77, (0 0 3)
- 1.702 Å, rel. 59, (3 3 1)
- 2.593 Å, rel. 53, (1 2 -1)
- 2.928 Å, rel. 43, (1 2 1)
- 2.725 Å, rel. 37, (1 -1 1)
- 1.962 Å, rel. 31, (2 1 -3)
- 4.428 Å, rel. 31, (0 0 2)
- 2.001 Å, rel. 29, (1 -1 3)
- 1.670 Å, rel. 29, (1 2 5)
- 2.555 Å, rel. 24, (-1 1 2)
- 1.707 Å, rel. 24, (0 3 1)



Simulated X-ray powder pattern of Li4Mn3Nb2Ni3O16 for copper Kα, from the GGA+U geometry in the Materials Project.
Kinematic intensities with the Lorentz-polarization factor, no thermal factor.

Cell: 10.3026 5.8848 9.6433 Å, 90.00 90.69 90.00°
Space group Cm (No. 8)
Asymmetric unit:
1 Li 0.0000 0.0000 0.0000
2 Li 0.0018 0.0000 0.5067
3 Li 0.1763 0.5000 0.0942
4 Li 0.3397 0.0000 0.5979
5 Mn 0.3312 0.5000 0.7767
6 Mn 0.4165 0.2472 0.2804
7 Nb 0.1555 0.5000 0.5105
8 Nb 0.3334 0.0000 0.9977
9 Ni 0.0880 0.2532 0.7834
10 Ni 0.1729 0.0000 0.2818
11 O 0.0216 0.5000 0.6422
12 O 0.0821 0.2512 0.4003
13 O 0.1694 0.0000 0.9148
14 O 0.1788 0.5000 0.8862
15 O 0.2541 0.2846 0.6517
16 O 0.2735 0.2284 0.1572
17 O 0.3422 0.5000 0.3910
18 O 0.3465 0.0000 0.3858
19 O 0.4130 0.2539 0.9013
20 O 0.4862 0.0000 0.1658
21 O 0.4961 0.5000 0.1883
22 O 0.4956 0.5000 0.6917

Peak list (12 most intense, 2θ from 10° to 90°, in order of falling intensity)
- 4.516 Å, rel. 100, (1 1 -1)
- 2.513 Å, rel. 43, (0 2 2)
- 4.821 Å, rel. 28, (0 0 2)
- 2.713 Å, rel. 27, (1 1 3)
- 4.566 Å, rel. 25, (2 0 -1)
- 1.483 Å, rel. 24, (6 2 0)
- 1.535 Å, rel. 23, (4 0 5)
- 2.538 Å, rel. 22, (3 1 -2)
- 1.995 Å, rel. 20, (2 2 3)
- 2.466 Å, rel. 19, (2 2 1)
- 3.517 Å, rel. 19, (1 1 -2)
- 2.006 Å, rel. 18, (2 2 -3)



Simulated X-ray powder pattern of Li4Mn3NbO8 for copper Kα, from the GGA+U geometry in the Materials Project.
Kinematic intensities with the Lorentz-polarization factor, no thermal factor.

Cell: 6.0934 6.0937 6.0959 Å, 61.35 61.35 61.39°
Space group P1 (No. 1)
Asymmetric unit:
1 Li 0.0000 0.0000 0.0000
2 Li 0.0005 0.4992 0.5044
3 Li 0.4945 0.0056 0.5026
4 Li 0.4975 0.5044 0.0057
5 Mn 0.4977 0.9993 0.0070
6 Mn 0.9964 0.9977 0.5059
7 Mn 0.9973 0.4970 0.0073
8 Nb 0.4988 0.4999 0.5081
9 O 0.2356 0.2350 0.2385
10 O 0.2626 0.2642 0.7368
11 O 0.2653 0.7282 0.2717
12 O 0.2670 0.7334 0.7425
13 O 0.7260 0.2653 0.2735
14 O 0.7317 0.2688 0.7432
15 O 0.7335 0.7335 0.2776
16 O 0.7586 0.7609 0.7782

Peak list (12 most intense, 2θ from 10° to 90°, in order of falling intensity)
- 4.924 Å, rel. 100, (1 1 1)
- 2.176 Å, rel. 81, (2 2 0)
- 2.649 Å, rel. 50, (1 1 -1)
- 1.555 Å, rel. 24, (2 0 -2)
- 1.523 Å, rel. 22, (4 2 2)
- 2.530 Å, rel. 18, (0 0 2)
- 1.990 Å, rel. 18, (3 1 1)
- 1.483 Å, rel. 17, (-1 1 3)
- 1.661 Å, rel. 15, (1 3 3)
- 1.265 Å, rel. 11, (4 0 0)
- 5.060 Å, rel. 10, (1 0 0)
- 1.315 Å, rel. 6, (0 2 4)



Simulated X-ray powder pattern of Li4Mn3NbO8 for copper Kα, from the GGA+U geometry in the Materials Project.
Kinematic intensities with the Lorentz-polarization factor, no thermal factor.

Cell: 6.0698 6.2034 8.7242 Å, 90.07 91.16 90.65°
Space group P1 (No. 1)
Asymmetric unit:
1 Li 0.0000 0.0000 0.0000
2 Li 0.0003 0.4993 0.9999
3 Li 0.2450 0.2437 0.7442
4 Li 0.2505 0.7518 0.7555
5 Li 0.5000 0.4997 0.5000
6 Li 0.5009 0.9996 0.4998
7 Li 0.7505 0.2468 0.2441
8 Li 0.7555 0.7555 0.2556
9 Mn 0.0000 0.4994 0.4999
10 Mn 0.0006 0.9997 0.4998
11 Mn 0.2489 0.7518 0.2472
12 Mn 0.5007 0.9997 0.9999
13 Mn 0.5009 0.4991 0.9997
14 Mn 0.7516 0.2475 0.7527
15 Nb 0.2463 0.2490 0.2450
16 Nb 0.7549 0.7505 0.7547
17 O 0.0065 0.0170 0.2450
18 O 0.0136 0.4836 0.2488
19 O 0.2259 0.7733 0.4797
20 O 0.2371 0.2323 0.4890
21 O 0.2436 0.2498 0.0176
22 O 0.2616 0.7453 0.0189
23 O 0.4827 0.0187 0.2533
24 O 0.4836 0.4809 0.2636
25 O 0.5171 0.5185 0.7362
26 O 0.5172 0.9791 0.7465
27 O 0.7396 0.2534 0.9830
28 O 0.7574 0.7493 0.9821
29 O 0.7642 0.7673 0.5106
30 O 0.7756 0.2254 0.5183
31 O 0.9883 0.5167 0.7508
32 O 0.9950 0.9819 0.7546

Peak list (12 most intense, 2θ from 10° to 90°, in order of falling intensity)
- 4.935 Å, rel. 100, (1 0 1)
- 2.181 Å, rel. 55, (2 -2 0)
- 2.646 Å, rel. 34, (1 0 -3)
- 2.157 Å, rel. 27, (2 2 0)
- 2.630 Å, rel. 17, (1 2 -1)
- 1.552 Å, rel. 16, (-2 2 4)
- 2.528 Å, rel. 13, (0 2 -2)
- 1.667 Å, rel. 10, (3 -2 1)
- 1.545 Å, rel. 8, (2 2 -4)
- 1.522 Å, rel. 7, (2 2 4)
- 1.517 Å, rel. 7, (4 0 0)
- 1.532 Å, rel. 7, (2 -2 4)